# 1
The following is a computed powder XRD pattern of LaEuHg2. It was derived from a crystal structure in the Materials Project, relaxed with GGA-PBE, using Cu Kα (weighted mean of Kα1 and Kα2).
Neutral-atom scattering factors, no anomalous dispersion.

Structural model:
```
data_LaEuHg2
_chemical_formula_sum 'La4 Eu4 Hg8'
_cell_length_a 7.7893
_cell_length_b 7.7893
_cell_length_c 7.7893
_cell_angle_alpha 90.00
_cell_angle_beta 90.00
_cell_angle_gamma 90.00
_space_group_name_H-M_alt 'F m -3 m'
_space_group_IT_number 225
_space_group_name_Hall '-F 4 2 3'
loop_
_atom_site_label
_atom_site_fract_x
_atom_site_fract_y
_atom_site_fract_z
La1 0.0000 0.0000 0.0000
Eu1 0.0000 0.0000 0.5000
Hg1 0.2500 0.2500 0.2500
```

Most intense lines, 2θ = 10–80°, in order of rising 2θ:
- 2θ = 22.8°, I = 3, hkl 2 0 0
- 2θ = 32.5°, I = 100, hkl 2 2 0
- 2θ = 40.1°, I = 1, hkl 2 2 2
- 2θ = 46.6°, I = 19, hkl 4 0 0
- 2θ = 52.5°, I = 1, hkl 4 2 0
- 2θ = 58.0°, I = 39, hkl 4 2 2
- 2θ = 68.1°, I = 12, hkl 4 4 0
- 2θ = 72.9°, I = 1, hkl 6 0 0
- 2θ = 77.5°, I = 17, hkl 6 2 0

# 2
The following is a computed powder XRD pattern of K2OsO6. It was derived from a crystal structure in the Materials Project, relaxed with GGA-PBE, using Cu Kα (weighted mean of Kα1 and Kα2).
Neutral-atom scattering factors, no anomalous dispersion.

Structural model:
```
data_K2OsO6
_chemical_formula_sum 'K4 Os2 O12'
_cell_length_a 5.9916
_cell_length_b 5.9916
_cell_length_c 9.4478
_cell_angle_alpha 90.00
_cell_angle_beta 90.00
_cell_angle_gamma 90.00
_space_group_name_H-M_alt 'I 4/m'
_space_group_IT_number 87
_space_group_name_Hall '-I 4'
loop_
_atom_site_label
_atom_site_fract_x
_atom_site_fract_y
_atom_site_fract_z
K1 0.0000 0.5000 0.2500
Os1 0.0000 0.0000 0.0000
O1 0.0000 0.0000 0.1961
O2 0.1654 0.2619 0.0000
```

Most intense lines, 2θ = 10–80°, in order of rising 2θ:
- 2θ = 17.5°, I = 100, hkl 1 0 1
- 2θ = 18.8°, I = 10, hkl 0 0 2
- 2θ = 21.0°, I = 13, hkl 1 1 0
- 2θ = 28.3°, I = 40, hkl 1 1 2
- 2θ = 29.8°, I = 19, hkl 2 0 0
- 2θ = 32.1°, I = 15, hkl 1 0 3
- 2θ = 34.8°, I = 27, hkl 1 2 1
- 2θ = 38.1°, I = 9, hkl 0 0 4
- 2θ = 42.7°, I = 12, hkl 2 2 0
- 2θ = 44.4°, I = 9, hkl 1 2 3
- 2θ = 52.0°, I = 16, hkl 1 3 2
- 2θ = 56.2°, I = 10, hkl 2 3 1

Repeat the first record exactly.
The following is a computed powder XRD pattern of LaEuHg2. It was derived from a crystal structure in the Materials Project, relaxed with GGA-PBE, using Cu Kα (weighted mean of Kα1 and Kα2).
Neutral-atom scattering factors, no anomalous dispersion.

Structural model:
```
data_LaEuHg2
_chemical_formula_sum 'La4 Eu4 Hg8'
_cell_length_a 7.7893
_cell_length_b 7.7893
_cell_length_c 7.7893
_cell_angle_alpha 90.00
_cell_angle_beta 90.00
_cell_angle_gamma 90.00
_space_group_name_H-M_alt 'F m -3 m'
_space_group_IT_number 225
_space_group_name_Hall '-F 4 2 3'
loop_
_atom_site_label
_atom_site_fract_x
_atom_site_fract_y
_atom_site_fract_z
La1 0.0000 0.0000 0.0000
Eu1 0.0000 0.0000 0.5000
Hg1 0.2500 0.2500 0.2500
```

Most intense lines, 2θ = 10–80°, in order of rising 2θ:
- 2θ = 22.8°, I = 3, hkl 2 0 0
- 2θ = 32.5°, I = 100, hkl 2 2 0
- 2θ = 40.1°, I = 1, hkl 2 2 2
- 2θ = 46.6°, I = 19, hkl 4 0 0
- 2θ = 52.5°, I = 1, hkl 4 2 0
- 2θ = 58.0°, I = 39, hkl 4 2 2
- 2θ = 68.1°, I = 12, hkl 4 4 0
- 2θ = 72.9°, I = 1, hkl 6 0 0
- 2θ = 77.5°, I = 17, hkl 6 2 0

- What is the formula in the second record?
  K2OsO6